Structure and computed powder diffractogram of Cu2Ag3 (a cell relaxed with PBE; Cu Kα (λ = 1.5418 Å)).
Peak positions follow from Bragg's law for the DFT cell and can differ from measured ones.

Cell and atoms:
```
data_Cu2Ag3
_chemical_formula_sum 'Cu4 Ag6'
_space_group_name_H-M_alt 'P 1 21/m 1'
_space_group_IT_number 11
_cell_length_a 4.8073
_cell_length_b 2.8497
_cell_length_c 11.4257
_cell_angle_alpha 90.00
_cell_angle_beta 95.25
_cell_angle_gamma 90.00
loop_
_space_group_symop_operation_xyz
'x,y,z'
'-x,-y,-z'
'-x,y+1/2,-z'
'x,-y+1/2,z'
loop_
_atom_site_label
_atom_site_type_symbol
_atom_site_fract_x
_atom_site_fract_y
_atom_site_fract_z
Cu1 Cu 0.0521 0.2500 0.4093
Cu2 Cu 0.3496 0.7500 0.7976
Ag1 Ag 0.1431 0.7500 0.2111
Ag2 Ag 0.2517 0.2500 0.9962
Ag3 Ag 0.4336 0.2500 0.6023
```

Top 12 peaks for 10° ≤ 2θ ≤ 90°, by angle:
39.16°, d = 2.300 Å, I 51, hkl 2 0 1
39.37°, d = 2.288 Å, I 100, hkl 1 1 -2
39.61°, d = 2.276 Å, I 48, hkl 0 0 5
45.00°, d = 2.015 Å, I 67, hkl 1 1 3
47.34°, d = 1.920 Å, I 27, hkl 2 0 -4
65.53°, d = 1.425 Å, I 20, hkl 0 2 0
67.07°, d = 1.395 Å, I 19, hkl 3 1 -1
67.68°, d = 1.384 Å, I 17, hkl 1 1 -7
78.93°, d = 1.213 Å, I 12, hkl 3 1 4
79.05°, d = 1.211 Å, I 12, hkl 2 2 1
79.34°, d = 1.208 Å, I 11, hkl 0 2 5
79.51°, d = 1.206 Å, I 11, hkl 1 1 8